Record 1
Structure and theoretical PXRD pattern of Ba3Bi3Au8 (a DFT-relaxed cell (GGA-PBE, Alexandria); λ = 1.5418 Å (Cu Kα)).
No peak broadening, texture or thermal motion is included.

Structural model:
Cell: 9.4641 9.4641 10.3238 Å, 121.36 121.36 29.71°
Fractional positions:
Ba: 0.0000 0.0000 0.0000
Ba: 0.3032 0.3032 0.3486
Ba: 0.6968 0.6968 0.6514
Bi: 0.0000 0.0000 0.5000
Bi: 0.3261 0.3261 0.9780
Bi: 0.6739 0.6739 0.0220
Au: 0.1162 0.1162 0.3762
Au: 0.1334 0.1334 0.8385
Au: 0.3610 0.3610 0.7375
Au: 0.4913 0.4913 0.2934
Au: 0.5087 0.5087 0.7066
Au: 0.6390 0.6390 0.2625
Au: 0.8666 0.8666 0.1615
Au: 0.8838 0.8838 0.6238

Peak list (10 most intense, 2θ = 10–80°, by intensity)
2θ/deg  intensity
30.39  100.0
37.06  92.9
31.03  56.5
34.28  55.9
39.21  45.9
40.21  40.6
29.35  35.4
39.85  34.6
38.33  34.1
34.46  32.4


Record 2
Structure and theoretical PXRD pattern of Hf4Zn3Pt (a DFT-relaxed cell (GGA-PBE, Alexandria); λ = 1.5418 Å (Cu Kα)).
No peak broadening, texture or thermal motion is included.

Structural model:
Cell: 3.3279 4.2212 10.5627 Å, 90.00 90.00 90.00°
Fractional positions:
Hf: 0.0000 0.0000 0.0000
Hf: 0.0000 0.5000 0.3090
Hf: 0.5000 0.0000 0.4964
Hf: 0.5000 0.5000 0.8189
Zn: 0.0000 0.0000 0.7274
Zn: 0.0000 0.5000 0.5824
Zn: 0.5000 0.5000 0.0802
Pt: 0.5000 0.0000 0.2358

Peak list (10 most intense, 2θ = 10–80°, by intensity)
2θ/deg  intensity
35.38  100.0
40.29  45.9
37.18  40.5
42.85  30.4
43.11  25.2
58.00  22.5
33.95  17.7
70.52  17.4
27.04  16.3
72.31  15.6


Record 3
Structure and theoretical PXRD pattern of PmDy5YTh2 (a DFT-relaxed cell (GGA-PBE, Alexandria); λ = 1.5418 Å (Cu Kα)).
No peak broadening, texture or thermal motion is included.

Structural model:
Cell: 9.8941 9.8941 9.8941 Å, 126.86 126.86 78.48°
Fractional positions:
Pm: 0.2500 0.2500 0.0000
Pm: 0.7500 0.7500 0.0000
Dy: 0.0000 0.0000 0.0000
Dy: 0.0714 0.5714 0.9185
Dy: 0.1529 0.0714 0.5000
Dy: 0.3471 0.8471 0.9185
Dy: 0.4286 0.3471 0.5000
Dy: 0.5000 0.5000 0.0000
Dy: 0.5714 0.6529 0.5000
Dy: 0.6529 0.1529 0.0815
Dy: 0.8471 0.9286 0.5000
Dy: 0.9286 0.4286 0.0815
Y: 0.2500 0.7500 0.5000
Y: 0.7500 0.2500 0.5000
Th: 0.1189 0.3811 0.5000
Th: 0.3811 0.8811 0.2622
Th: 0.6189 0.1189 0.7378
Th: 0.8811 0.6189 0.5000

Peak list (10 most intense, 2θ = 10–80°, by intensity)
2θ/deg  intensity
28.53  100.0
30.87  75.7
37.09  41.0
56.30  21.6
42.52  21.1
31.98  20.6
79.01  19.8
47.45  18.2
58.37  17.8
52.01  17.5


Record 4
Structure and theoretical PXRD pattern of GaCuNi (a DFT-relaxed cell (GGA-PBE, Alexandria); λ = 1.5418 Å (Cu Kα)).
No peak broadening, texture or thermal motion is included.

Structural model:
Cell: 7.7474 4.4748 5.1533 Å, 90.00 123.78 90.00°
Fractional positions:
Ga: 0.0000 0.0000 0.0000
Ga: 0.0000 0.1996 0.5000
Ga: 0.5000 0.5000 0.0000
Ga: 0.5000 0.6996 0.5000
Cu: 0.1648 0.6839 0.5028
Cu: 0.3352 0.1839 0.4972
Cu: 0.6648 0.1839 0.5028
Cu: 0.8352 0.6839 0.4972
Ni: 0.1708 0.5095 0.0126
Ni: 0.3292 0.0095 0.9874
Ni: 0.6708 0.0095 0.0126
Ni: 0.8292 0.5095 0.9874

Peak list (10 most intense, 2θ = 10–80°, by intensity)
2θ/deg  intensity
45.75  100.0
44.68  90.9
46.95  78.2
42.20  76.4
40.37  66.4
73.34  26.0
79.66  17.3
57.94  16.8
77.23  15.9
61.70  13.8